(1)
Theoretical X-ray powder pattern of LaEr3Tm7 for Cu Kα (weighted mean of Kα1 and Kα2), from a PBE-relaxed structure.

Top 8 peaks for 10° ≤ 2θ ≤ 80°, by angle:
31.6°, d 2.834, rel. 26
32.0°, d 2.799, rel. 100
32.3°, d 2.776, rel. 40
32.5°, d 2.753, rel. 59
32.7°, d 2.741, rel. 72
33.0°, d 2.715, rel. 22
33.3°, d 2.693, rel. 73
58.2°, d 1.585, rel. 23

Cell and atoms:
```
data_LaEr3Tm7
_chemical_formula_sum 'La1 Er3 Tm7'
_space_group_name_H-M_alt 'P 1 2/m 1'
_space_group_IT_number 10
_cell_length_a 6.8646
_cell_length_b 5.4827
_cell_length_c 9.7862
_cell_angle_alpha 90.00
_cell_angle_beta 108.60
_cell_angle_gamma 90.00
loop_
_space_group_symop_operation_xyz
'x,y,z'
'-x,-y,-z'
'-x,y,-z'
'x,-y,z'
loop_
_atom_site_label
_atom_site_fract_x
_atom_site_fract_y
_atom_site_fract_z
La1 0.0000 0.0000 0.0000
Er1 0.2742 0.5000 0.4920
Er2 0.5000 0.0000 0.0000
Tm1 0.0000 0.0000 0.5000
Tm2 0.1506 0.5000 0.7891
Tm3 0.3263 0.5000 0.1428
Tm4 0.4342 0.0000 0.3327
```



(2)
Theoretical X-ray powder pattern of LaEr12Tm3 for Cu Kα (weighted mean of Kα1 and Kα2), from a PBE-relaxed structure.

Top 7 peaks for 10° ≤ 2θ ≤ 80°, by angle:
31.1°, d 2.874, rel. 100
36.1°, d 2.489, rel. 51
52.0°, d 1.760, rel. 36
61.8°, d 1.501, rel. 42
64.9°, d 1.437, rel. 12
76.5°, d 1.246, rel. 2
76.6°, d 1.244, rel. 4

Cell and atoms:
```
data_LaEr12Tm3
_chemical_formula_sum 'La1 Er12 Tm3'
_space_group_name_H-M_alt 'P 4/m m m'
_space_group_IT_number 123
_space_group_name_Hall '-P 4 2'
_cell_length_a 4.9747
_cell_length_b 4.9747
_cell_length_c 19.9315
_cell_angle_alpha 90.00
_cell_angle_beta 90.00
_cell_angle_gamma 90.00
loop_
_atom_site_label
_atom_site_fract_x
_atom_site_fract_y
_atom_site_fract_z
La1 0.0000 0.0000 0.0000
Er1 0.0000 0.5000 0.1289
Er2 0.0000 0.5000 0.3762
Er3 0.5000 0.5000 0.0000
Er4 0.5000 0.5000 0.2532
Er5 0.5000 0.5000 0.5000
Tm1 0.0000 0.0000 0.2519
Tm2 0.0000 0.0000 0.5000
```



(3)
Theoretical X-ray powder pattern of La4ErTm3 for Cu Kα (weighted mean of Kα1 and Kα2), from a PBE-relaxed structure.

Top 8 peaks for 10° ≤ 2θ ≤ 80°, by angle:
30.2°, d 2.955, rel. 100
35.0°, d 2.564, rel. 34
35.2°, d 2.549, rel. 16
50.3°, d 1.813, rel. 12
50.5°, d 1.808, rel. 23
59.9°, d 1.545, rel. 29
60.1°, d 1.539, rel. 13
62.9°, d 1.477, rel. 12

Cell and atoms:
```
data_La4ErTm3
_chemical_formula_sum 'La8 Er2 Tm6'
_space_group_name_H-M_alt 'P m m n'
_space_group_IT_number 59
_cell_length_a 5.1274
_cell_length_b 10.2550
_cell_length_c 10.1974
_cell_angle_alpha 90.00
_cell_angle_beta 90.00
_cell_angle_gamma 90.00
loop_
_space_group_symop_operation_xyz
'x,y,z'
'-x,-y,-z'
'-x+1/2,-y+1/2,z'
'x+1/2,y+1/2,-z'
'x+1/2,-y,-z'
'-x+1/2,y,z'
'-x,y+1/2,-z'
'x,-y+1/2,z'
loop_
_atom_site_label
_atom_site_fract_x
_atom_site_fract_y
_atom_site_fract_z
La1 0.2500 0.0001 0.1281
La2 0.2500 0.2500 0.8712
La3 0.2500 0.7500 0.8717
Er1 0.2500 0.2500 0.3853
Tm1 0.2500 0.9999 0.6148
Tm2 0.2500 0.7500 0.3850
```



(4)
Theoretical X-ray powder pattern of La2Er5Tm2 for Cu Kα (weighted mean of Kα1 and Kα2), from a PBE-relaxed structure.

Top 8 peaks for 10° ≤ 2θ ≤ 80°, by angle:
31.2°, d 2.866, rel. 95
31.5°, d 2.842, rel. 100
31.9°, d 2.805, rel. 46
32.4°, d 2.761, rel. 50
32.5°, d 2.757, rel. 70
32.6°, d 2.750, rel. 28
37.9°, d 2.374, rel. 32
39.9°, d 2.259, rel. 30

Cell and atoms:
```
data_La2Er5Tm2
_chemical_formula_sum 'La2 Er5 Tm2'
_space_group_name_H-M_alt 'P -1'
_space_group_IT_number 2
_cell_length_a 3.6260
_cell_length_b 7.2647
_cell_length_c 11.8362
_cell_angle_alpha 81.03
_cell_angle_beta 81.20
_cell_angle_gamma 75.64
loop_
_space_group_symop_operation_xyz
'x,y,z'
'-x,-y,-z'
loop_
_atom_site_label
_atom_site_fract_x
_atom_site_fract_y
_atom_site_fract_z
La1 0.0933 0.1671 0.1405
Er1 0.0000 0.0000 0.5000
Er2 0.3058 0.2072 0.6825
Er3 0.3854 0.6169 0.1105
Tm1 0.3589 0.3905 0.3903
```



(5)
Theoretical X-ray powder pattern of La3Er3Tm4 for Cu Kα (weighted mean of Kα1 and Kα2), from a PBE-relaxed structure.

Top 8 peaks for 10° ≤ 2θ ≤ 80°, by angle:
29.7°, d 3.009, rel. 56
30.8°, d 2.905, rel. 29
32.2°, d 2.778, rel. 100
34.0°, d 2.639, rel. 16
39.0°, d 2.308, rel. 11
55.2°, d 1.663, rel. 18
57.9°, d 1.592, rel. 15
59.0°, d 1.566, rel. 20

Cell and atoms:
```
data_La3Er3Tm4
_chemical_formula_sum 'La6 Er6 Tm8'
_space_group_name_H-M_alt 'A m m 2'
_space_group_IT_number 38
_cell_length_a 3.6684
_cell_length_b 13.4483
_cell_length_c 13.4643
_cell_angle_alpha 90.00
_cell_angle_beta 90.00
_cell_angle_gamma 90.00
loop_
_space_group_symop_operation_xyz
'x,y,z'
'-x,-y,z'
'-x,y,z'
'x,-y,z'
'x,y+1/2,z+1/2'
'-x,-y+1/2,z+1/2'
'-x,y+1/2,z+1/2'
'x,-y+1/2,z+1/2'
loop_
_atom_site_label
_atom_site_fract_x
_atom_site_fract_y
_atom_site_fract_z
La1 0.0000 0.0000 0.0000
La2 0.5000 0.2448 0.5775
Er1 0.0000 0.0000 0.6509
Er2 0.0000 0.1724 0.3270
Tm1 0.5000 0.0000 0.2076
Tm2 0.5000 0.0000 0.4493
Tm3 0.5000 0.1233 0.8202
```



(6)
Theoretical X-ray powder pattern of LaEr8Tm6 for Cu Kα (weighted mean of Kα1 and Kα2), from a PBE-relaxed structure.

Top 8 peaks for 10° ≤ 2θ ≤ 80°, by angle:
26.0°, d 3.425, rel. 37
32.4°, d 2.764, rel. 100
33.1°, d 2.703, rel. 67
33.9°, d 2.642, rel. 94
36.1°, d 2.490, rel. 18
51.1°, d 1.786, rel. 23
53.7°, d 1.706, rel. 20
61.2°, d 1.515, rel. 26

Cell and atoms:
```
data_LaEr8Tm6
_chemical_formula_sum 'La1 Er8 Tm6'
_space_group_name_H-M_alt 'P -3'
_space_group_IT_number 147
_cell_length_a 9.3635
_cell_length_b 9.3635
_cell_length_c 6.4011
_cell_angle_alpha 90.00
_cell_angle_beta 90.00
_cell_angle_gamma 120.00
loop_
_space_group_symop_operation_xyz
'x,y,z'
'-x,-y,-z'
'-y,x-y,z'
'y,-x+y,-z'
'-x+y,-x,z'
'x-y,x,-z'
loop_
_atom_site_label
_atom_site_fract_x
_atom_site_fract_y
_atom_site_fract_z
La1 0.0000 0.0000 0.0000
Er1 0.0260 0.6851 0.5903
Er2 0.3333 0.6667 0.3318
Tm1 0.1012 0.4205 0.9115
```



(7)
Theoretical X-ray powder pattern of La2Er6Tm3 for Cu Kα (weighted mean of Kα1 and Kα2), from a PBE-relaxed structure.

Top 8 peaks for 10° ≤ 2θ ≤ 80°, by angle:
30.9°, d 2.891, rel. 34
31.3°, d 2.859, rel. 100
36.2°, d 2.483, rel. 67
51.9°, d 1.763, rel. 24
52.3°, d 1.748, rel. 24
61.6°, d 1.505, rel. 14
62.0°, d 1.496, rel. 28
62.2°, d 1.492, rel. 14

Cell and atoms:
```
data_La2Er6Tm3
_chemical_formula_sum 'La4 Er12 Tm6'
_space_group_name_H-M_alt 'C 1 2/m 1'
_space_group_IT_number 12
_cell_length_a 6.0540
_cell_length_b 10.4945
_cell_length_c 11.7431
_cell_angle_alpha 90.00
_cell_angle_beta 99.97
_cell_angle_gamma 90.00
loop_
_space_group_symop_operation_xyz
'x,y,z'
'-x,-y,-z'
'-x,y,-z'
'x,-y,z'
'x+1/2,y+1/2,z'
'-x+1/2,-y+1/2,-z'
'-x+1/2,y+1/2,-z'
'x+1/2,-y+1/2,z'
loop_
_atom_site_label
_atom_site_fract_x
_atom_site_fract_y
_atom_site_fract_z
La1 0.0000 0.1669 0.0000
Er1 0.2478 0.1667 0.7425
Er2 0.2478 0.5000 0.7427
Tm1 0.0000 0.0000 0.5000
Tm2 0.0000 0.3344 0.5000
```



(8)
Theoretical X-ray powder pattern of La3Er2Tm3 for Cu Kα (weighted mean of Kα1 and Kα2), from a PBE-relaxed structure.

Top 8 peaks for 10° ≤ 2θ ≤ 80°, by angle:
30.5°, d 2.934, rel. 100
34.8°, d 2.576, rel. 17
35.0°, d 2.567, rel. 17
36.2°, d 2.483, rel. 16
51.1°, d 1.786, rel. 24
59.8°, d 1.547, rel. 15
59.9°, d 1.543, rel. 15
61.6°, d 1.507, rel. 14

Cell and atoms:
```
data_La3Er2Tm3
_chemical_formula_sum 'La6 Er4 Tm6'
_space_group_name_H-M_alt 'I m m m'
_space_group_IT_number 71
_space_group_name_Hall '-I 2 2'
_cell_length_a 4.9657
_cell_length_b 5.1335
_cell_length_c 20.6061
_cell_angle_alpha 90.00
_cell_angle_beta 90.00
_cell_angle_gamma 90.00
loop_
_atom_site_label
_atom_site_fract_x
_atom_site_fract_y
_atom_site_fract_z
La1 0.0000 0.0000 0.0000
La2 0.0000 0.5000 0.1249
Er1 0.0000 0.0000 0.2484
Tm1 0.0000 0.0000 0.5000
Tm2 0.0000 0.5000 0.3720
```



(9)
Theoretical X-ray powder pattern of La6Er2Tm3 for Cu Kα (weighted mean of Kα1 and Kα2), from a PBE-relaxed structure.

Top 8 peaks for 10° ≤ 2θ ≤ 80°, by angle:
28.9°, d 3.087, rel. 53
29.7°, d 3.003, rel. 59
30.1°, d 2.964, rel. 40
30.2°, d 2.955, rel. 46
30.7°, d 2.915, rel. 43
31.0°, d 2.881, rel. 100
32.3°, d 2.773, rel. 41
32.5°, d 2.754, rel. 81

Cell and atoms:
```
data_La6Er2Tm3
_chemical_formula_sum 'La6 Er2 Tm3'
_space_group_name_H-M_alt 'P -1'
_space_group_IT_number 2
_cell_length_a 6.7058
_cell_length_b 6.7284
_cell_length_c 9.8034
_cell_angle_alpha 98.36
_cell_angle_beta 98.30
_cell_angle_gamma 117.99
loop_
_space_group_symop_operation_xyz
'x,y,z'
'-x,-y,-z'
loop_
_atom_site_label
_atom_site_fract_x
_atom_site_fract_y
_atom_site_fract_z
La1 0.1850 0.0961 0.1553
La2 0.2100 0.2788 0.4926
La3 0.2849 0.7658 0.7641
Er1 0.4014 0.3135 0.8478
Tm1 0.0000 0.5000 0.0000
Tm2 0.2730 0.7634 0.3767
```



(10)
Theoretical X-ray powder pattern of La4Er5Tm4 for Cu Kα (weighted mean of Kα1 and Kα2), from a PBE-relaxed structure.

Top 7 peaks for 10° ≤ 2θ ≤ 80°, by angle:
13.7°, d 6.457, rel. 1
30.6°, d 2.924, rel. 100
35.4°, d 2.532, rel. 51
51.0°, d 1.791, rel. 36
60.6°, d 1.527, rel. 43
63.6°, d 1.462, rel. 12
75.0°, d 1.266, rel. 6

Cell and atoms:
```
data_La4Er5Tm4
_chemical_formula_sum 'La8 Er10 Tm8'
_space_group_name_H-M_alt 'I 4/m'
_space_group_IT_number 87
_space_group_name_Hall '-I 4'
_cell_length_a 12.9142
_cell_length_b 12.9142
_cell_length_c 5.0628
_cell_angle_alpha 90.00
_cell_angle_beta 90.00
_cell_angle_gamma 90.00
loop_
_atom_site_label
_atom_site_fract_x
_atom_site_fract_y
_atom_site_fract_z
La1 0.1521 0.2285 0.0000
Er1 0.0000 0.0000 0.0000
Er2 0.0371 0.8071 0.5000
Tm1 0.0765 0.6118 0.0000
```



(11)
Theoretical X-ray powder pattern of La4Er3Tm for Cu Kα (weighted mean of Kα1 and Kα2), from a PBE-relaxed structure.

Top 8 peaks for 10° ≤ 2θ ≤ 80°, by angle:
30.2°, d 2.959, rel. 100
35.0°, d 2.567, rel. 34
35.1°, d 2.554, rel. 16
50.3°, d 1.815, rel. 12
50.4°, d 1.810, rel. 23
59.8°, d 1.547, rel. 29
60.0°, d 1.541, rel. 13
62.8°, d 1.479, rel. 12

Cell and atoms:
```
data_La4Er3Tm
_chemical_formula_sum 'La8 Er6 Tm2'
_space_group_name_H-M_alt 'P m m n'
_space_group_IT_number 59
_cell_length_a 5.1331
_cell_length_b 10.2671
_cell_length_c 10.2148
_cell_angle_alpha 90.00
_cell_angle_beta 90.00
_cell_angle_gamma 90.00
loop_
_space_group_symop_operation_xyz
'x,y,z'
'-x,-y,-z'
'-x+1/2,-y+1/2,z'
'x+1/2,y+1/2,-z'
'x+1/2,-y,-z'
'-x+1/2,y,z'
'-x,y+1/2,-z'
'x,-y+1/2,z'
loop_
_atom_site_label
_atom_site_fract_x
_atom_site_fract_y
_atom_site_fract_z
La1 0.2500 0.9998 0.1282
La2 0.2500 0.2500 0.8721
La3 0.2500 0.7500 0.8723
Er1 0.2500 0.0001 0.6152
Er2 0.2500 0.2500 0.3848
Tm1 0.2500 0.7500 0.3849
```



(12)
Theoretical X-ray powder pattern of La8ErTm5 for Cu Kα (weighted mean of Kα1 and Kα2), from a PBE-relaxed structure.

Top 8 peaks for 10° ≤ 2θ ≤ 80°, by angle:
30.5°, d 2.928, rel. 88
30.7°, d 2.915, rel. 100
31.0°, d 2.888, rel. 27
31.3°, d 2.854, rel. 79
31.6°, d 2.829, rel. 78
31.8°, d 2.817, rel. 80
32.7°, d 2.735, rel. 62
45.0°, d 2.014, rel. 27

Cell and atoms:
```
data_La8ErTm5
_chemical_formula_sum 'La8 Er1 Tm5'
_space_group_name_H-M_alt 'P 1'
_space_group_IT_number 1
_cell_length_a 8.4658
_cell_length_b 8.7289
_cell_length_c 8.8109
_cell_angle_alpha 117.29
_cell_angle_beta 114.27
_cell_angle_gamma 96.19
loop_
_space_group_symop_operation_xyz
'x,y,z'
loop_
_atom_site_label
_atom_site_fract_x
_atom_site_fract_y
_atom_site_fract_z
La1 0.0000 0.0000 0.0000
La2 0.0591 0.2162 0.4794
La3 0.2120 0.8530 0.2895
La4 0.3769 0.3591 0.9769
La5 0.5363 0.9740 0.8142
La6 0.6694 0.5298 0.6743
La7 0.8212 0.4490 0.2920
La8 0.8805 0.2916 0.8090
Er1 0.0597 0.9051 0.6120
Tm1 0.2104 0.6696 0.8374
Tm2 0.2522 0.5015 0.3713
Tm3 0.5110 0.1024 0.2451
Tm4 0.6138 0.7875 0.4361
Tm5 0.7222 0.7705 0.1185
```